For Ti7Nb4Ga6, DFT lattice parameters and positions (PBE) gives the theoretical XRD peak list in this record (Cu Kα, 1.54184 Å).
Neutral-atom scattering factors, no anomalous dispersion.

Most intense lines, 2θ = 10–90°, in order of falling intensity:
- 2θ 37.3, I = 100.0
- 2θ 43.4, I = 56.2
- 2θ 63.0, I = 28.0
- 2θ 75.5, I = 23.3
- 2θ 30.3, I = 17.2
- 2θ 34.0, I = 12.5
- 2θ 46.1, I = 11.9
- 2θ 51.3, I = 8.5
- 2θ 71.5, I = 7.9
- 2θ 85.5, I = 7.5

Atomic structure:
```
17
Lattice="-4.1743 4.1743 4.1743 4.1743 -4.1743 4.1743 4.1743 4.1743 -4.1743" Properties=species:S:1:pos:R:3 pbc="T T T"
Ti 0.0000 0.0000 0.0000
Ti 4.1743 2.0872 0.0000
Ti 4.1743 0.0000 2.0872
Ti 2.0872 4.1743 0.0000
Ti 2.0872 0.0000 4.1743
Ti 0.0000 4.1743 2.0872
Ti 0.0000 2.0872 4.1743
Nb 2.0872 2.0872 -2.0872
Nb 2.0872 -2.0872 2.0872
Nb -2.0872 2.0872 2.0872
Nb 2.0872 2.0872 2.0872
Ga 2.5163 0.0000 0.0000
Ga 5.8324 0.0000 0.0000
Ga 0.0000 2.5163 0.0000
Ga 0.0000 0.0000 2.5163
Ga 0.0000 5.8324 0.0000
Ga 0.0000 0.0000 5.8324
```



For Ti5NbGa6, DFT lattice parameters and positions (PBE) gives the theoretical XRD peak list in this record (Cu Kα, 1.54184 Å).
Neutral-atom scattering factors, no anomalous dispersion.

Most intense lines, 2θ = 10–90°, in order of falling intensity:
- 2θ 42.0, I = 100.0
- 2θ 37.3, I = 70.3
- 2θ 70.5, I = 29.6
- 2θ 53.8, I = 23.2
- 2θ 79.7, I = 17.3
- 2θ 70.6, I = 9.8
- 2θ 67.4, I = 5.7
- 2θ 79.8, I = 3.4
- 2θ 26.2, I = 3.2
- 2θ 12.2, I = 1.7

Atomic structure:
```
12
Lattice="3.6722 -7.2253 0.0000 3.6722 7.2253 0.0000 -3.1488 0.0000 3.6411" Properties=species:S:1:pos:R:3 pbc="T T T"
Ti 0.0000 0.0000 0.0000
Ti 2.0978 4.8079 1.8205
Ti 3.6722 2.3969 0.0000
Ti 3.6722 -2.3969 0.0000
Ti 2.0978 -4.8079 1.8205
Nb 2.0978 0.0000 1.8205
Ga 1.0441 2.4222 0.9058
Ga -0.5380 0.0000 2.7201
Ga 1.0441 -2.4222 0.9058
Ga 3.1515 2.4222 2.7353
Ga 4.7336 0.0000 0.9210
Ga 3.1515 -2.4222 2.7353
```



For Ti4NbGa2, DFT lattice parameters and positions (PBE) gives the theoretical XRD peak list in this record (Cu Kα, 1.54184 Å).
Neutral-atom scattering factors, no anomalous dispersion.

Most intense lines, 2θ = 10–90°, in order of falling intensity:
- 2θ 38.7, I = 100.0
- 2θ 37.5, I = 90.8
- 2θ 42.8, I = 26.5
- 2θ 42.1, I = 23.9
- 2θ 30.0, I = 23.3
- 2θ 30.7, I = 23.3
- 2θ 69.2, I = 22.4
- 2θ 54.4, I = 21.9
- 2θ 80.1, I = 21.2
- 2θ 55.6, I = 20.4

Atomic structure:
```
7
Lattice="2.7957 0.0000 0.0000 0.0000 6.4653 0.0000 0.0000 0.0000 6.7128" Properties=species:S:1:pos:R:3 pbc="T T T"
Ti 0.0000 1.3838 1.4159
Ti 0.0000 1.3838 5.2969
Ti 0.0000 5.0815 1.4159
Ti 0.0000 5.0815 5.2969
Nb 0.0000 3.2327 3.3564
Ga 1.3979 0.0000 3.3564
Ga 1.3979 3.2327 0.0000
```



For Tm2NbGa3, DFT lattice parameters and positions (PBE) gives the theoretical XRD peak list in this record (Cu Kα, 1.54184 Å).
Neutral-atom scattering factors, no anomalous dispersion.

Most intense lines, 2θ = 10–90°, in order of falling intensity:
- 2θ 36.4, I = 100.0
- 2θ 39.3, I = 20.5
- 2θ 40.6, I = 17.7
- 2θ 69.4, I = 15.4
- 2θ 71.2, I = 12.6
- 2θ 46.6, I = 12.5
- 2θ 57.8, I = 12.5
- 2θ 28.0, I = 10.9
- 2θ 77.3, I = 10.5
- 2θ 62.6, I = 10.3

Atomic structure:
```
6
Lattice="2.2924 -6.6627 0.0000 2.2924 6.6627 0.0000 0.0000 0.0000 3.8956" Properties=species:S:1:pos:R:3 pbc="T T T"
Tm 2.2924 4.4655 0.0000
Tm 2.2924 -4.4655 0.0000
Nb 2.2924 0.0000 0.0000
Ga 0.0000 0.0000 1.9478
Ga 2.2924 2.0534 1.9478
Ga 2.2924 -2.0534 1.9478
```